[1]
Diffraction record for Mn4S3N2. The PXRD pattern is theoretical, not measured: it uses a cell relaxed with PBE and Cu Kα (λ = 1.5418 Å).
Intensities are scaled so that the largest is 100.

a = 11.403 Å, b = 3.257 Å, c = 8.498 Å
α = 90.00°, β = 128.09°, γ = 90.00°
Space group C2/m (No. 12)
Inequivalent atoms, fractional coordinates:
1 Mn 0.082 0.000 0.368
2 Mn 0.207 0.500 0.863
3 S 0.000 0.500 0.500
4 S 0.188 0.500 0.286
5 N 0.121 0.000 0.873

Top 10 peaks for 2θ from 10° to 90°, sorted by position:
2θ (°)	Rel. int.	index
15.58	24	2 0 -1
21.19	29	2 0 -2
30.05	28	2 0 1
37.30	100	3 1 -2
42.52	26	2 0 2
44.98	30	1 1 -3
50.95	11	6 0 -4
53.97	11	4 0 -5
56.50	16	0 2 0
58.73	23	5 1 0

---

[2]
Diffraction record for RbCuSe4. The PXRD pattern is theoretical, not measured: it uses a cell relaxed with PBE and Cu Kα (λ = 1.5418 Å).
Intensities are scaled so that the largest is 100.

a = 5.571 Å, b = 9.029 Å, c = 13.819 Å
α = 90.00°, β = 90.00°, γ = 90.00°
Space group P2_12_12_1 (No. 19)
Inequivalent atoms, fractional coordinates:
1 Rb 0.188 0.060 0.334
2 Cu 0.033 0.137 0.064
3 Se 0.082 0.588 0.935
4 Se 0.136 0.697 0.595
5 Se 0.160 0.367 0.838
6 Se 0.160 0.883 0.096

Top 10 peaks for 2θ from 10° to 90°, sorted by position:
2θ (°)	Rel. int.	index
12.81	46	0 0 2
16.15	70	0 1 2
25.79	64	0 0 4
26.21	61	1 2 1
27.65	91	0 1 4
28.54	75	1 2 2
30.43	94	1 0 4
32.07	100	1 2 3
34.31	72	2 1 1
52.57	57	2 1 6

---

[3]
Diffraction record for Si3Au10. The PXRD pattern is theoretical, not measured: it uses a cell relaxed with PBE and Cu Kα (λ = 1.5418 Å).
Intensities are scaled so that the largest is 100.

a = 9.776 Å, b = 9.776 Å, c = 9.776 Å
α = 90.00°, β = 90.00°, γ = 90.00°
Space group I-43m (No. 217)
Inequivalent atoms, fractional coordinates:
1 Si 0.000 0.000 0.303
2 Au 0.041 0.353 0.647
3 Au 0.154 0.154 0.846
4 Au 0.161 0.161 0.161

Top 10 peaks for 2θ from 10° to 90°, sorted by position:
2θ (°)	Rel. int.	index
28.88	23	3 1 0
31.71	12	2 2 2
36.77	16	4 0 0
39.09	100	3 3 0
51.18	8	5 2 1
54.75	13	4 3 3
56.48	13	6 0 0
70.83	28	6 3 3
73.82	16	7 3 0
84.00	7	6 6 0

---

[4]
Diffraction record for HPb. The PXRD pattern is theoretical, not measured: it uses a cell relaxed with PBE and Cu Kα (λ = 1.5418 Å).
Intensities are scaled so that the largest is 100.

a = 3.5250 Å, b = 3.5250 Å, c = 7.4468 Å
α = 90.00°, β = 90.00°, γ = 120.00°
Space group P6_3mc (No. 186)
Inequivalent atoms, fractional coordinates:
1 H 0.3333 0.6667 0.0000
2 Pb 0.3333 0.6667 0.3019

Top 10 peaks for 2θ from 10° to 90°, sorted by position:
2θ (°)	Rel. int.	index
23.90	44	0 0 2
29.26	21	1 0 0
31.68	100	1 0 1
38.12	20	1 0 2
47.19	34	1 0 3
51.88	17	1 1 0
57.89	25	1 1 2
62.07	15	2 0 1
74.07	12	1 1 4
85.08	14	2 1 1

---

[5]
Diffraction record for Ti11O14. The PXRD pattern is theoretical, not measured: it uses a cell relaxed with PBE and Cu Kα (λ = 1.5418 Å).
Intensities are scaled so that the largest is 100.

a = 5.077 Å, b = 5.108 Å, c = 10.699 Å
α = 85.73°, β = 76.33°, γ = 70.88°
Space group P1 (No. 1)
Inequivalent atoms, fractional coordinates:
1 Ti 0.000 0.000 0.000
2 Ti 0.061 0.515 0.855
3 Ti 0.144 0.015 0.690
4 Ti 0.206 0.504 0.561
5 Ti 0.346 0.509 0.280
6 Ti 0.409 0.009 0.150
7 Ti 0.481 0.523 0.986
8 Ti 0.563 0.008 0.839
9 Ti 0.693 0.012 0.567
10 Ti 0.776 0.507 0.420
11 Ti 0.847 0.008 0.274
12 O 0.021 0.764 0.421
13 O 0.092 0.260 0.280
14 O 0.168 0.745 0.139
15 O 0.250 0.251 0.993
16 O 0.306 0.771 0.841
17 O 0.380 0.277 0.706
18 O 0.457 0.756 0.559
19 O 0.525 0.251 0.419
20 O 0.597 0.756 0.280
21 O 0.666 0.268 0.133
22 O 0.729 0.775 0.993
23 O 0.822 0.248 0.850
24 O 0.891 0.752 0.703
25 O 0.950 0.260 0.560

Top 10 peaks for 2θ from 10° to 90°, sorted by position:
2θ (°)	Rel. int.	index
21.84	13	1 1 1
22.54	16	1 0 -1
25.18	20	0 1 -2
37.24	36	0 2 0
43.20	100	-1 1 3
43.63	50	2 2 1
62.54	13	0 0 7
62.81	13	1 3 -3
62.99	27	2 -2 1
63.24	27	3 1 -2

---

[6]
Diffraction record for Cs3Re6S7Cl7. The PXRD pattern is theoretical, not measured: it uses a cell relaxed with PBE and Cu Kα (λ = 1.5418 Å).
Intensities are scaled so that the largest is 100.

a = 9.464 Å, b = 13.288 Å, c = 11.384 Å
α = 90.00°, β = 106.62°, γ = 90.00°
Space group P2_1 (No. 4)
Inequivalent atoms, fractional coordinates:
1 Cs 0.000 0.000 0.250
2 Cs 0.474 0.242 0.113
3 Cs 0.476 0.260 0.614
4 Re 0.099 0.123 0.775
5 Re 0.102 0.381 0.275
6 Re 0.114 0.961 0.651
7 Re 0.115 0.544 0.152
8 Re 0.137 0.554 0.387
9 Re 0.137 0.951 0.888
10 S 0.070 0.379 0.057
11 S 0.071 0.122 0.557
12 S 0.112 0.398 0.489
13 S 0.113 0.104 0.989
14 S 0.140 0.702 0.262
15 S 0.323 0.476 0.308
16 S 0.324 0.026 0.808
17 Cl 0.143 0.792 0.762
18 Cl 0.237 0.221 0.309
19 Cl 0.238 0.282 0.810
20 Cl 0.265 0.908 0.524
21 Cl 0.266 0.595 0.022
22 Cl 0.319 0.887 0.066
23 Cl 0.321 0.616 0.569

Top 10 peaks for 2θ from 10° to 90°, sorted by position:
2θ (°)	Rel. int.	index
10.49	100	0 1 1
12.66	43	1 1 -1
13.33	14	0 2 0
15.86	10	1 1 1
16.39	11	1 0 -2
16.54	42	1 2 0
22.32	11	1 1 2
38.78	9	4 1 -1
39.31	12	2 5 0
42.93	9	3 3 -4

---

[7]
Diffraction record for NaThTi2O6. The PXRD pattern is theoretical, not measured: it uses a cell relaxed with PBE and Cu Kα (λ = 1.5418 Å).
Intensities are scaled so that the largest is 100.

a = 3.922 Å, b = 3.922 Å, c = 7.806 Å
α = 90.00°, β = 90.00°, γ = 90.00°
Space group P4/mmm (No. 123)
Inequivalent atoms, fractional coordinates:
1 Na 0.000 0.000 0.000
2 Th 0.000 0.000 0.500
3 Ti 0.500 0.500 0.244
4 O 0.000 0.500 0.282
5 O 0.500 0.500 0.000
6 O 0.500 0.500 0.500

Top 10 peaks for 2θ from 10° to 90°, sorted by position:
2θ (°)	Rel. int.	index
11.34	85	0 0 1
25.41	52	1 0 1
32.33	100	1 1 0
34.31	20	1 1 1
39.88	24	1 1 2
46.30	24	2 0 0
47.94	14	1 1 3
53.55	14	2 1 1
57.61	26	2 1 2
57.77	14	1 1 4

---

[8]
Diffraction record for MnGa2S4. The PXRD pattern is theoretical, not measured: it uses a cell relaxed with PBE and Cu Kα (λ = 1.5418 Å).
Intensities are scaled so that the largest is 100.

a = 3.7449 Å, b = 3.7449 Å, c = 37.2063 Å
α = 90.00°, β = 90.00°, γ = 120.00°
Space group R3m (No. 160, hexagonal axes)
Inequivalent atoms, fractional coordinates:
1 Mn 0.0000 0.0000 0.0000
2 Ga 0.0000 0.0000 0.5303
3 Ga 0.0000 0.0000 0.7646
4 S 0.0000 0.0000 0.0655
5 S 0.0000 0.0000 0.4689
6 S 0.0000 0.0000 0.6435
7 S 0.0000 0.0000 0.8887

Top 10 peaks for 2θ from 10° to 90°, sorted by position:
2θ (°)	Rel. int.	index
21.50	100	0 0 9
27.61	54	1 0 1
27.93	46	0 1 2
29.16	78	1 0 4
32.34	23	1 0 7
33.69	80	0 1 8
42.11	45	1 0 13
48.63	88	1 1 0
50.29	72	0 1 17
53.74	46	1 1 9

---

[9]
Diffraction record for Pm5Mg. The PXRD pattern is theoretical, not measured: it uses a cell relaxed with PBE and Cu Kα (λ = 1.5418 Å).
Intensities are scaled so that the largest is 100.

a = 5.823 Å, b = 3.706 Å, c = 18.299 Å
α = 90.00°, β = 90.00°, γ = 90.00°
Space group Amm2 (No. 38)
Inequivalent atoms, fractional coordinates:
1 Pm 0.000 0.000 0.000
2 Pm 0.000 0.000 0.324
3 Pm 0.500 0.000 0.204
4 Pm 0.500 0.000 0.544
5 Pm 0.500 0.000 0.873
6 Mg 0.000 0.000 0.660

Top 10 peaks for 2θ from 10° to 90°, sorted by position:
2θ (°)	Rel. int.	index
28.18	16	0 1 3
29.28	17	0 0 6
30.71	34	2 0 0
32.17	100	1 1 3
33.16	31	1 0 6
42.95	12	2 0 6
51.25	14	0 1 9
55.53	21	3 1 3
60.60	11	1 2 6
60.94	17	2 1 9

---

[10]
Diffraction record for Bi2B2O7. The PXRD pattern is theoretical, not measured: it uses a cell relaxed with PBE and Cu Kα (λ = 1.5418 Å).
Intensities are scaled so that the largest is 100.

a = 6.532 Å, b = 6.584 Å, c = 8.060 Å
α = 110.17°, β = 110.87°, γ = 91.09°
Space group P-1 (No. 2)
Inequivalent atoms, fractional coordinates:
1 Bi 0.207 0.355 0.212
2 Bi 0.256 0.218 0.635
3 B 0.179 0.663 0.628
4 B 0.192 0.844 0.234
5 O 0.029 0.222 0.885
6 O 0.114 0.613 0.758
7 O 0.114 0.826 0.559
8 O 0.280 0.066 0.351
9 O 0.315 0.521 0.563
10 O 0.340 0.694 0.241
11 O 0.498 0.977 0.068

Top 10 peaks for 2θ from 10° to 90°, sorted by position:
2θ (°)	Rel. int.	index
18.96	80	1 -1 0
22.36	100	1 1 0
22.75	62	-1 1 1
24.04	48	1 0 -2
24.16	75	0 1 -2
29.66	58	2 0 0
30.85	32	2 0 -2
31.96	76	1 2 -2
34.32	34	1 0 2
36.32	33	0 2 1

---

[11]
Diffraction record for Er2MgSe4. The PXRD pattern is theoretical, not measured: it uses a cell relaxed with PBE and Cu Kα (λ = 1.5418 Å).
Intensities are scaled so that the largest is 100.

a = 14.058 Å, b = 8.172 Å, c = 6.807 Å
α = 90.00°, β = 90.00°, γ = 90.00°
Space group Pnma (No. 62)
Inequivalent atoms, fractional coordinates:
1 Er 0.000 0.000 0.000
2 Er 0.236 0.250 0.495
3 Mg 0.092 0.750 0.583
4 Se 0.074 0.250 0.248
5 Se 0.092 0.750 0.211
6 Se 0.169 0.504 0.762

Top 10 peaks for 2θ from 10° to 90°, sorted by position:
2θ (°)	Rel. int.	index
14.46	34	1 0 1
18.10	46	1 1 1
23.04	19	3 0 1
25.52	21	3 1 1
26.21	26	1 2 1
28.47	40	2 2 1
28.58	21	4 0 1
36.69	100	2 2 2
44.34	26	0 4 0
44.58	35	6 2 0